No. 1
Calculated powder diffraction line list
Compound: ZrTe6Cl6
Radiation: CuKα
Structure: a GGA-PBE-relaxed structure
Lines closer than 0.1° are merged.

Main lines, low angle first (10 to 90 degrees two-theta):
2θ/deg	d_spacing	Rel. int.
10.88	8.131	100
15.42	5.747	88
17.42	5.092	56
20.55	4.322	48
25.81	3.452	92
26.85	3.321	71
27.99	3.188	70
31.52	2.838	36
34.84	2.575	61
44.53	2.035	52

Structure:
```
data_ZrTe6Cl6
_chemical_formula_sum 'Zr4 Te24 Cl24'
_symmetry_space_group_name_H-M 'P b c m'
_symmetry_Int_Tables_number 57
_symmetry_space_group_name_Hall '-P 2c 2b'
_cell_length_a 11.5343
_cell_length_b 11.4651
_cell_length_c 13.0624
_cell_angle_alpha 90.00
_cell_angle_beta 90.00
_cell_angle_gamma 90.00
loop_
_atom_site_label
_atom_site_type_symbol
_atom_site_fract_x
_atom_site_fract_y
_atom_site_fract_z
Zr1 Zr 0.2386 0.2106 0.2500
Te1 Te 0.1094 0.6360 0.5328
Te2 Te 0.2212 0.7443 0.7500
Te3 Te 0.3089 0.5995 0.0946
Te4 Te 0.4677 0.7500 0.0000
Cl1 Cl 0.0845 0.0598 0.2500
Cl2 Cl 0.1351 0.1690 0.6181
Cl3 Cl 0.3440 0.0971 0.1136
Cl4 Cl 0.3970 0.1471 0.7500
```

No. 2
Calculated powder diffraction line list
Compound: ThCl4
Radiation: CuKα
Structure: a GGA-PBE-relaxed structure
Lines closer than 0.1° are merged.

Main lines, low angle first (10 to 90 degrees two-theta):
2θ/deg	d_spacing	Rel. int.
15.43	5.741	100
20.73	4.284	64
25.95	3.434	31
27.36	3.260	37
33.45	2.679	39
36.39	2.469	28
39.68	2.272	33
40.66	2.219	47
42.22	2.141	26
51.02	1.790	18

Structure:
```
data_ThCl4
_chemical_formula_sum 'Th4 Cl16'
_symmetry_space_group_name_H-M 'I 41/a m d'
_symmetry_Int_Tables_number 141
_cell_length_a 8.5683
_cell_length_b 8.5683
_cell_length_c 7.7343
_cell_angle_alpha 90.00
_cell_angle_beta 90.00
_cell_angle_gamma 90.00
loop_
_symmetry_equiv_pos_as_xyz
'x,y,z'
'-x,-y,-z'
'-y+1/4,x+3/4,z+1/4'
'y+1/4,-x+3/4,-z+1/4'
'-x+1/2,-y,z+1/2'
'x+1/2,y,-z+1/2'
'y+1/4,-x+1/4,z+3/4'
'-y+1/4,x+1/4,-z+3/4'
'x,-y,-z'
'-x,y,z'
'-y+1/4,-x+1/4,-z+3/4'
'y+1/4,x+1/4,z+3/4'
'-x+1/2,y,-z+1/2'
'x+1/2,-y,z+1/2'
'y+1/4,x+3/4,-z+1/4'
'-y+1/4,-x+3/4,z+1/4'
'x+1/2,y+1/2,z+1/2'
'-x+1/2,-y+1/2,-z+1/2'
'-y+3/4,x+1/4,z+3/4'
'y+3/4,-x+1/4,-z+3/4'
'-x,-y+1/2,z'
'x,y+1/2,-z'
'y+3/4,-x+3/4,z+1/4'
'-y+3/4,x+3/4,-z+1/4'
'x+1/2,-y+1/2,-z+1/2'
'-x+1/2,y+1/2,z+1/2'
'-y+3/4,-x+3/4,-z+1/4'
'y+3/4,x+3/4,z+1/4'
'-x,y+1/2,-z'
'x,-y+1/2,z'
'y+3/4,x+1/4,-z+3/4'
'-y+3/4,-x+1/4,z+3/4'
loop_
_atom_site_label
_atom_site_type_symbol
_atom_site_fract_x
_atom_site_fract_y
_atom_site_fract_z
Th1 Th 0.0000 0.2500 0.3750
Cl1 Cl 0.0000 0.0632 0.6941
```

No. 3
Calculated powder diffraction line list
Compound: TiCl4
Radiation: CuKα
Structure: a GGA-PBE-relaxed structure
Lines closer than 0.1° are merged.

Main lines, low angle first (10 to 90 degrees two-theta):
2θ/deg	d_spacing	Rel. int.
16.05	5.523	19
16.89	5.249	83
21.06	4.218	14
26.59	3.352	100
29.96	2.983	11
41.81	2.160	18
42.88	2.109	15
44.72	2.026	29
51.17	1.785	16
56.22	1.636	13

Structure:
```
data_TiCl4
_chemical_formula_sum 'Ti2 Cl8'
_symmetry_space_group_name_H-M 'I -4 2 m'
_symmetry_Int_Tables_number 121
_symmetry_space_group_name_Hall 'I -4 2'
_cell_length_a 5.9651
_cell_length_b 5.9651
_cell_length_c 11.0467
_cell_angle_alpha 90.00
_cell_angle_beta 90.00
_cell_angle_gamma 90.00
loop_
_atom_site_label
_atom_site_type_symbol
_atom_site_fract_x
_atom_site_fract_y
_atom_site_fract_z
Ti1 Ti 0.0000 0.0000 0.0000
Cl1 Cl 0.2114 0.2114 0.8858
```

No. 4
Calculated powder diffraction line list
Compound: TiCl4
Radiation: CuKα
Structure: a GGA-PBE-relaxed structure
Lines closer than 0.1° are merged.

Main lines, low angle first (10 to 90 degrees two-theta):
2θ/deg	d_spacing	Rel. int.
15.22	5.822	99
16.55	5.358	70
16.92	5.240	81
17.43	5.088	62
18.29	4.850	58
24.96	3.568	100
26.58	3.353	76
28.45	3.137	67
28.69	3.111	74
44.45	2.038	56

Structure:
```
data_TiCl4
_chemical_formula_sum 'Ti4 Cl16'
_symmetry_space_group_name_H-M 'P 1 21/c 1'
_symmetry_Int_Tables_number 14
_symmetry_space_group_name_Hall '-P 2ybc'
_cell_length_a 10.7147
_cell_length_b 7.0239
_cell_length_c 10.6040
_cell_angle_alpha 90.00
_cell_angle_beta 102.02
_cell_angle_gamma 90.00
loop_
_atom_site_label
_atom_site_type_symbol
_atom_site_fract_x
_atom_site_fract_y
_atom_site_fract_z
Ti1 Ti 0.2483 0.0730 0.3633
Cl1 Cl 0.0812 0.0743 0.2051
Cl2 Cl 0.2015 0.5723 0.0296
Cl3 Cl 0.3059 0.1342 0.9157
Cl4 Cl 0.4046 0.5765 0.8022
```

No. 5
Calculated powder diffraction line list
Compound: Ti4TlCl7
Radiation: CuKα
Structure: a GGA-PBE-relaxed structure
Lines closer than 0.1° are merged.

Main lines, low angle first (10 to 90 degrees two-theta):
2θ/deg	d_spacing	Rel. int.
22.02	4.037	40
22.77	3.905	54
26.47	3.367	56
31.16	2.870	57
34.26	2.617	44
34.58	2.594	32
36.24	2.479	64
37.84	2.378	100
43.47	2.082	42
53.40	1.716	37

Structure:
```
data_Ti4TlCl7
_chemical_formula_sum 'Ti8 Tl2 Cl14'
_symmetry_space_group_name_H-M 'P m m n'
_symmetry_Int_Tables_number 59
_cell_length_a 4.9581
_cell_length_b 19.0111
_cell_length_c 5.2371
_cell_angle_alpha 90.00
_cell_angle_beta 90.00
_cell_angle_gamma 90.00
loop_
_symmetry_equiv_pos_as_xyz
'x,y,z'
'-x,-y,-z'
'-x+1/2,-y+1/2,z'
'x+1/2,y+1/2,-z'
'x+1/2,-y,-z'
'-x+1/2,y,z'
'-x,y+1/2,-z'
'x,-y+1/2,z'
loop_
_atom_site_label
_atom_site_type_symbol
_atom_site_fract_x
_atom_site_fract_y
_atom_site_fract_z
Ti1 Ti 0.2500 0.0028 0.1536
Ti2 Ti 0.2500 0.6077 0.8143
Tl1 Tl 0.2500 0.2500 0.6706
Cl1 Cl 0.2500 0.0162 0.6783
Cl2 Cl 0.2500 0.1335 0.1743
Cl3 Cl 0.2500 0.6260 0.2903
Cl4 Cl 0.2500 0.7500 0.7805
```

No. 6
Calculated powder diffraction line list
Compound: ZrTiV2Cl
Radiation: CuKα
Structure: a GGA-PBE-relaxed structure
Lines closer than 0.1° are merged.

Main lines, low angle first (10 to 90 degrees two-theta):
2θ/deg	d_spacing	Rel. int.
27.61	3.231	58
27.86	3.202	15
34.09	2.630	100
39.08	2.305	39
39.81	2.264	73
49.14	1.854	23
57.01	1.615	47
57.57	1.601	23
68.63	1.368	23
71.78	1.315	22

Structure:
```
data_ZrTiV2Cl
_chemical_formula_sum 'Zr1 Ti1 V2 Cl1'
_symmetry_space_group_name_H-M 'P 4/m m m'
_symmetry_Int_Tables_number 123
_symmetry_space_group_name_Hall '-P 4 2'
_cell_length_a 4.5285
_cell_length_b 4.5285
_cell_length_c 4.6103
_cell_angle_alpha 90.00
_cell_angle_beta 90.00
_cell_angle_gamma 90.00
loop_
_atom_site_label
_atom_site_type_symbol
_atom_site_fract_x
_atom_site_fract_y
_atom_site_fract_z
Zr1 Zr 0.0000 0.0000 0.0000
Ti1 Ti 0.5000 0.5000 0.5000
V1 V 0.0000 0.5000 0.5000
Cl1 Cl 0.5000 0.5000 0.0000
```

No. 7
Calculated powder diffraction line list
Compound: Tl2Cl
Radiation: CuKα
Structure: a GGA-PBE-relaxed structure
Lines closer than 0.1° are merged.

Main lines, low angle first (10 to 90 degrees two-theta):
2θ/deg	d_spacing	Rel. int.
19.02	4.667	35
30.93	2.891	100
33.25	2.694	66
46.05	1.971	34
53.50	1.713	11
57.97	1.591	35
59.42	1.556	13
60.94	1.520	16
78.30	1.221	15
80.94	1.188	14

Structure:
```
data_Tl2Cl
_chemical_formula_sum 'Tl2 Cl1'
_symmetry_space_group_name_H-M 'P -3 m 1'
_symmetry_Int_Tables_number 164
_symmetry_space_group_name_Hall '-P 3 2"'
_cell_length_a 5.3888
_cell_length_b 5.3888
_cell_length_c 3.6826
_cell_angle_alpha 90.00
_cell_angle_beta 90.00
_cell_angle_gamma 120.00
loop_
_atom_site_label
_atom_site_type_symbol
_atom_site_fract_x
_atom_site_fract_y
_atom_site_fract_z
Tl1 Tl 0.3333 0.6667 0.2673
Cl1 Cl 0.0000 0.0000 0.5000
```

No. 8
Calculated powder diffraction line list
Compound: Tl8Cl
Radiation: CuKα
Structure: a GGA-PBE-relaxed structure
Lines closer than 0.1° are merged.

Main lines, low angle first (10 to 90 degrees two-theta):
2θ/deg	d_spacing	Rel. int.
31.25	2.862	100
35.78	2.510	35
37.15	2.420	16
51.50	1.775	12
52.53	1.742	24
61.48	1.508	29
63.31	1.469	14
65.19	1.431	12
84.26	1.149	6
85.89	1.132	12

Structure:
```
data_Tl8Cl
_chemical_formula_sum 'Tl16 Cl2'
_symmetry_space_group_name_H-M 'I 4/m m m'
_symmetry_Int_Tables_number 139
_symmetry_space_group_name_Hall '-I 4 2'
_cell_length_a 10.6475
_cell_length_b 10.6475
_cell_length_c 4.8407
_cell_angle_alpha 90.00
_cell_angle_beta 90.00
_cell_angle_gamma 90.00
loop_
_atom_site_label
_atom_site_type_symbol
_atom_site_fract_x
_atom_site_fract_y
_atom_site_fract_z
Tl1 Tl 0.0000 0.3311 0.0000
Tl2 Tl 0.1632 0.1632 0.5000
Cl1 Cl 0.0000 0.0000 0.0000
```

No. 9
Calculated powder diffraction line list
Compound: UTl6Cl12
Radiation: CuKα
Structure: a GGA-PBE-relaxed structure
Lines closer than 0.1° are merged.

Main lines, low angle first (10 to 90 degrees two-theta):
2θ/deg	d_spacing	Rel. int.
15.30	5.793	13
16.16	5.483	20
20.16	4.404	21
20.62	4.307	100
23.72	3.750	36
23.91	3.721	17
33.51	2.674	26
34.09	2.630	35
35.18	2.551	14
39.92	2.258	24

Structure:
```
data_UTl6Cl12
_chemical_formula_sum 'U3 Tl18 Cl36'
_symmetry_space_group_name_H-M 'R -3'
_symmetry_Int_Tables_number 148
_symmetry_space_group_name_Hall '-R 3'
_cell_length_a 13.9184
_cell_length_b 13.9184
_cell_length_c 13.2109
_cell_angle_alpha 90.00
_cell_angle_beta 90.00
_cell_angle_gamma 120.00
loop_
_atom_site_label
_atom_site_type_symbol
_atom_site_fract_x
_atom_site_fract_y
_atom_site_fract_z
U1 U 0.0000 0.0000 0.0000
Tl1 Tl 0.0165 0.7806 0.6204
Cl1 Cl 0.0180 0.8048 0.3908
Cl2 Cl 0.0481 0.8821 0.8912
```

> What is the formula in the second record?

ThCl4

Repeat the ninth record exactly.
Calculated powder diffraction line list
Compound: UTl6Cl12
Radiation: CuKα
Structure: a GGA-PBE-relaxed structure
Lines closer than 0.1° are merged.

Main lines, low angle first (10 to 90 degrees two-theta):
2θ/deg	d_spacing	Rel. int.
15.30	5.793	13
16.16	5.483	20
20.16	4.404	21
20.62	4.307	100
23.72	3.750	36
23.91	3.721	17
33.51	2.674	26
34.09	2.630	35
35.18	2.551	14
39.92	2.258	24

Structure:
```
data_UTl6Cl12
_chemical_formula_sum 'U3 Tl18 Cl36'
_symmetry_space_group_name_H-M 'R -3'
_symmetry_Int_Tables_number 148
_symmetry_space_group_name_Hall '-R 3'
_cell_length_a 13.9184
_cell_length_b 13.9184
_cell_length_c 13.2109
_cell_angle_alpha 90.00
_cell_angle_beta 90.00
_cell_angle_gamma 120.00
loop_
_atom_site_label
_atom_site_type_symbol
_atom_site_fract_x
_atom_site_fract_y
_atom_site_fract_z
U1 U 0.0000 0.0000 0.0000
Tl1 Tl 0.0165 0.7806 0.6204
Cl1 Cl 0.0180 0.8048 0.3908
Cl2 Cl 0.0481 0.8821 0.8912
```